Structure and computed powder XRD pattern of NaCoH4SO6F (the GGA+U geometry in Alexandria; copper Kα).
Lines closer than 0.1° are merged.

Most intense lines, 2θ = 10–90°, sorted by position:
(hkl)  d (Å)  Rel. int.
0 0 1  6.635  50
1 0 0  5.339  49
0 1 1  4.934  14
1 0 1  3.534  44
1 0 -2  3.505  19
0 2 1  3.225  37
1 1 1  3.188  22
1 2 -1  3.029  100
2 0 -2  2.652  18
2 1 -2  2.496  18
1 0 2  2.422  17
0 4 0  1.845  14

Cell: 5.810 7.380 7.220 Å, 90.00 113.22 90.00°
Fractional positions:
Na 0.124 0.250 0.197
Na 0.876 0.750 0.803
Co 0.500 0.000 0.000
Co 0.500 0.500 0.000
H 0.074 0.071 0.695
H 0.074 0.429 0.695
H 0.200 0.592 0.623
H 0.200 0.908 0.623
H 0.800 0.092 0.377
H 0.800 0.408 0.377
H 0.926 0.571 0.305
H 0.926 0.929 0.305
S 0.345 0.750 0.305
S 0.655 0.250 0.695
O 0.157 0.750 0.404
O 0.169 0.544 0.739
O 0.169 0.956 0.739
O 0.292 0.585 0.174
O 0.292 0.915 0.174
O 0.399 0.250 0.541
O 0.601 0.750 0.459
O 0.708 0.085 0.826
O 0.708 0.415 0.826
O 0.831 0.044 0.261
O 0.831 0.456 0.261
O 0.843 0.250 0.596
F 0.370 0.250 0.021
F 0.630 0.750 0.979